# 1
This entry pairs a crystal structure of K3MnO3 with its theoretical PXRD pattern. Radiation: CuKα. Structure: the PBE+U geometry in the Materials Project.
Neutral-atom scattering factors, no anomalous dispersion.

Largest 8 diffraction maxima, in order of falling intensity, 2θ from 15° to 90°:
hkl, 2theta, intensity
2 2 0, 30.77, 100.0
1 1 -1, 19.17, 84.2
0 2 2, 30.45, 55.0
1 3 1, 30.26, 50.4
0 4 0, 30.63, 48.0
2 3 1, 38.86, 46.6
1 3 -1, 28.98, 36.6
1 2 -2, 32.15, 35.9

Cell and atoms:
Lattice parameters (Å, degrees): 6.737 11.676 6.832 90.00 96.06 90.00
Space group P2_1/c (No. 14)
Unique sites:
K: 0.020 0.226 0.080
K: 0.347 0.510 0.641
K: 0.473 0.212 0.492
Mn: 0.158 0.504 0.159
O: 0.109 0.074 0.400
O: 0.277 0.120 0.806
O: 0.301 0.628 0.283



# 2
This entry pairs a crystal structure of MgCu2W2O8 with its theoretical PXRD pattern. Radiation: CuKα. Structure: the PBE+U geometry in the Materials Project.
Neutral-atom scattering factors, no anomalous dispersion.

Largest 8 diffraction maxima, in order of falling intensity, 2θ from 15° to 90°:
hkl, 2theta, intensity
0 1 0, 17.05, 100.0
0 1 -1, 22.33, 88.1
-1 1 1, 31.62, 58.2
2 1 0, 34.80, 51.0
1 1 1, 24.38, 50.7
1 0 -1, 22.99, 38.5
1 0 -2, 33.96, 37.3
1 1 2, 34.20, 30.2

Cell and atoms:
Lattice parameters (Å, degrees): 5.262 5.445 6.365 87.97 87.27 72.84
Space group P1 (No. 1)
Unique sites:
Mg: 0.000 0.000 0.000
Cu: 0.323 0.982 0.352
Cu: 0.579 0.681 0.985
W: 0.197 0.404 0.765
W: 0.724 0.387 0.475
O: 0.331 0.137 0.959
O: 0.450 0.206 0.529
O: 0.463 0.591 0.723
O: 0.541 0.639 0.285
O: 0.926 0.204 0.734
O: 0.928 0.142 0.289
O: 0.974 0.574 0.524
O: 0.986 0.653 0.949



# 3
This entry pairs a crystal structure of Na7W13O39 with its theoretical PXRD pattern. Radiation: CuKα. Structure: the PBE+U geometry in the Materials Project.
Neutral-atom scattering factors, no anomalous dispersion.

Largest 8 diffraction maxima, in order of falling intensity, 2θ from 15° to 90°:
hkl, 2theta, intensity
1 1 0, 22.63, 100.0
1 0 4, 32.19, 37.7
1 -3 3, 32.26, 37.4
3 0 -1, 52.10, 27.9
0 2 -8, 46.26, 16.8
3 1 -5, 57.48, 12.7
2 1 4, 51.98, 10.5
1 -6 2, 57.36, 10.2

Cell and atoms:
Lattice parameters (Å, degrees): 5.550 9.633 16.171 101.35 99.79 106.65
Space group P1 (No. 1)
Unique sites:
Na: 0.000 0.000 0.000
Na: 0.080 0.924 0.235
Na: 0.232 0.769 0.695
Na: 0.385 0.615 0.154
Na: 0.467 0.540 0.391
Na: 0.617 0.383 0.846
Na: 0.846 0.154 0.541
W: 0.002 0.502 0.503
W: 0.080 0.423 0.732
W: 0.154 0.345 0.963
W: 0.233 0.270 0.194
W: 0.308 0.195 0.425
W: 0.387 0.113 0.655
W: 0.462 0.039 0.886
W: 0.542 0.963 0.118
W: 0.618 0.887 0.351
W: 0.696 0.807 0.579
W: 0.772 0.731 0.810
W: 0.844 0.650 0.038
W: 0.924 0.576 0.272
O: 0.004 0.507 0.005
O: 0.033 0.458 0.620
O: 0.050 0.971 0.619
O: 0.086 0.426 0.232
O: 0.112 0.384 0.849
O: 0.128 0.884 0.847
O: 0.161 0.341 0.464
O: 0.191 0.308 0.076
O: 0.191 0.814 0.082
O: 0.235 0.272 0.697
O: 0.264 0.725 0.307
O: 0.279 0.231 0.312
O: 0.309 0.187 0.923
O: 0.338 0.645 0.539
O: 0.360 0.159 0.543
O: 0.377 0.114 0.154
O: 0.412 0.574 0.772
O: 0.430 0.079 0.771
O: 0.466 0.037 0.387
O: 0.498 0.997 0.001
O: 0.508 0.507 0.004
O: 0.545 0.970 0.620
O: 0.571 0.920 0.229
O: 0.583 0.433 0.233
O: 0.619 0.882 0.848
O: 0.656 0.847 0.467
O: 0.661 0.340 0.464
O: 0.697 0.811 0.082
O: 0.729 0.772 0.693
O: 0.733 0.273 0.698
O: 0.766 0.732 0.308
O: 0.802 0.184 0.923
O: 0.814 0.696 0.929
O: 0.839 0.649 0.539
O: 0.880 0.109 0.154
O: 0.891 0.623 0.157
O: 0.918 0.576 0.773
O: 0.959 0.537 0.384
O: 0.978 0.040 0.390



# 4
This entry pairs a crystal structure of Li5FeCo4O10 with its theoretical PXRD pattern. Radiation: CuKα. Structure: the PBE+U geometry in the Materials Project.
Neutral-atom scattering factors, no anomalous dispersion.

Largest 8 diffraction maxima, in order of falling intensity, 2θ from 15° to 90°:
hkl, 2theta, intensity
0 0 15, 18.29, 100.0
0 1 20, 43.47, 77.5
0 1 5, 35.91, 43.3
1 1 0, 63.47, 21.3
1 0 40, 62.84, 21.3
1 0 25, 47.52, 15.2
1 0 10, 37.52, 14.6
1 1 15, 66.66, 14.5

Cell and atoms:
Lattice parameters (Å, degrees): 2.9312 2.9312 72.7774 90.00 90.00 120.00
Space group R-3m (No. 166, hexagonal axes)
Unique sites:
Li: 0.0000 0.0000 0.0000
Li: 0.0000 0.0000 0.2003
Li: 0.0000 0.0000 0.4000
Fe: 0.0000 0.0000 0.5000
Co: 0.0000 0.0000 0.0999
Co: 0.0000 0.0000 0.3000
O: 0.0000 0.0000 0.0486
O: 0.0000 0.0000 0.1510
O: 0.0000 0.0000 0.2485
O: 0.0000 0.0000 0.3515
O: 0.0000 0.0000 0.4484



# 5
This entry pairs a crystal structure of Zr4Fe2H2O with its theoretical PXRD pattern. Radiation: CuKα. Structure: the PBE+U geometry in the Materials Project.
Neutral-atom scattering factors, no anomalous dispersion.

Largest 8 diffraction maxima, in order of falling intensity, 2θ from 15° to 90°:
hkl, 2theta, intensity
3 3 3, 36.82, 100.0
4 2 2, 34.64, 40.8
6 6 0, 62.08, 39.1
4 4 0, 40.21, 34.8
3 3 1, 30.72, 23.8
9 3 3, 74.41, 18.5
6 2 2, 47.55, 10.8
5 5 5, 63.51, 10.3

Cell and atoms:
Lattice parameters (Å, degrees): 12.686 12.686 12.686 90.00 90.00 90.00
Space group Fd-3m (No. 227, origin choice 2)
Unique sites:
Zr: 0.000 0.000 0.000
Zr: 0.065 0.375 0.875
Fe: 0.045 0.045 0.205
H: 0.043 0.043 0.707
O: 0.000 0.000 0.500



# 6
This entry pairs a crystal structure of Li4Mn3CrCo2P6O24 with its theoretical PXRD pattern. Radiation: CuKα. Structure: the PBE+U geometry in the Materials Project.
Neutral-atom scattering factors, no anomalous dispersion.

Largest 8 diffraction maxima, in order of falling intensity, 2θ from 15° to 90°:
hkl, 2theta, intensity
1 0 -1, 19.77, 100.0
1 -2 1, 34.71, 77.7
1 2 0, 24.09, 71.2
0 2 1, 23.70, 68.1
1 3 2, 33.04, 59.4
0 1 -1, 19.87, 56.9
-2 1 1, 34.53, 42.6
0 1 2, 23.48, 40.3

Cell and atoms:
Lattice parameters (Å, degrees): 8.415 8.486 8.604 63.07 63.78 64.17
Space group P1 (No. 1)
Unique sites:
Li: 0.000 0.000 0.000
Li: 0.097 0.887 0.504
Li: 0.211 0.385 0.409
Li: 0.621 0.586 0.798
Mn: 0.011 0.390 0.800
Mn: 0.501 0.884 0.293
Mn: 0.707 0.092 0.497
Cr: 0.209 0.589 0.999
Co: 0.367 0.746 0.134
Co: 0.847 0.239 0.649
P: 0.106 0.180 0.200
P: 0.292 0.986 0.695
P: 0.417 0.489 0.591
P: 0.601 0.286 0.096
P: 0.799 0.790 0.897
P: 0.917 0.688 0.393
O: 0.036 0.199 0.054
O: 0.098 0.136 0.726
O: 0.112 0.660 0.234
O: 0.174 0.343 0.152
O: 0.259 0.983 0.222
O: 0.265 0.424 0.604
O: 0.279 0.828 0.893
O: 0.308 0.923 0.547
O: 0.365 0.551 0.755
O: 0.423 0.658 0.403
O: 0.447 0.484 0.069
O: 0.455 0.046 0.653
O: 0.530 0.126 0.142
O: 0.606 0.808 0.049
O: 0.609 0.346 0.575
O: 0.667 0.260 0.245
O: 0.748 0.307 0.899
O: 0.749 0.751 0.331
O: 0.804 0.979 0.741
O: 0.819 0.641 0.829
O: 0.914 0.830 0.457
O: 0.930 0.490 0.540
O: 0.960 0.739 0.969
O: 0.965 0.161 0.397